Pm2SmAg2Sn2: calculated XRD peak list (Cu Kα X-rays), based on the PBE geometry in Alexandria.
Peak positions follow from Bragg's law for the DFT cell and can differ from measured ones.

Peak list (8 most intense, 5 to 70 degrees two-theta, sorted by position)
2θ (°)  I/Imax
31.0  64.3
33.5  81.3
37.1  100.0
49.1  31.2
50.9  25.2
63.1  54.3
64.6  24.5
67.0  17.7

Cell: 4.8416 4.8416 27.8291 Å, 90.00 90.00 120.00°
Space group R-3m (No. 166, hexagonal axes)
Symmetry-distinct sites (fractional):
Pm  0.0000  0.0000  0.1282
Sm  0.0000  0.0000  0.0000
Ag  0.0000  0.0000  0.3992
Sn  0.0000  0.0000  0.2626